For NaVPbO5, the GGA+U geometry in Alexandria gives the calculated XRD peak list in this record (CuKα).
No peak broadening, texture or thermal motion is included.

Cell lengths 5.953, 5.953, 7.552 Å; angles 103.86, 103.86, 105.18 degrees
Fractional coordinates of all 16 atoms:
Na (0.164, 0.836, 0.750)
Na (0.836, 0.164, 0.250)
V (0.177, 0.823, 0.250)
V (0.823, 0.177, 0.750)
Pb (0.500, 0.500, 0.000)
Pb (0.500, 0.500, 0.500)
O (0.112, 0.242, 0.914)
O (0.176, 0.604, 0.369)
O (0.242, 0.112, 0.414)
O (0.396, 0.824, 0.131)
O (0.406, 0.594, 0.750)
O (0.594, 0.406, 0.250)
O (0.604, 0.176, 0.869)
O (0.758, 0.888, 0.586)
O (0.824, 0.396, 0.631)
O (0.888, 0.758, 0.086)

Largest 12 diffraction maxima, by angle, 2θ from 15° to 90°:
d/Å	Rel. int.
5.438	100
4.728	30
3.477	81
3.323	42
2.848	45
2.798	43
2.583	19
2.573	19
2.262	22
1.876	18
1.868	24
1.813	16